(1)
Er6Tl6Hg: computed X-ray diffraction stick pattern (Cu Kα X-rays), based on the GGA-PBE geometry in Alexandria.
Peak positions follow from Bragg's law for the DFT cell and can differ from measured ones.

Principal peaks in the range 2θ from 5° to 70°, low angle first:
d/Å	2θ (°)	I (rel.)	(hkl)
2.787	32.11	58	2 2 0
2.732	32.79	60	2 0 2
2.583	34.73	33	0 0 4
2.453	36.64	100	0 4 2
1.609	57.25	33	4 0 0
1.366	68.73	28	4 0 4

Structure:
a b c (Å): 6.433 11.156 10.331
angles (deg): 90.00 90.00 90.00
Space group Cmmm (No. 65)
Asymmetric unit:
Er  0.000  0.000  0.184 x4
Er  0.000  0.333  0.000 x4
Er  0.000  0.334  0.500 x4
Tl  0.000  0.500  0.250 x4
Tl  0.250  0.250  0.250 x8
Hg  0.000  0.000  0.500 x2

(2)
Er2Tl2Hg: computed X-ray diffraction stick pattern (Cu Kα X-rays), based on the GGA-PBE geometry in Alexandria.
Peak positions follow from Bragg's law for the DFT cell and can differ from measured ones.

Principal peaks in the range 2θ from 5° to 70°, low angle first:
d/Å	2θ (°)	I (rel.)	(hkl)
3.252	27.43	50	0 0 2
2.828	31.64	55	1 1 2
2.780	32.20	100	2 1 1
2.720	32.93	96	1 4 1
2.499	35.93	52	1 5 0
2.351	38.29	61	0 4 2

Structure:
a b c (Å): 6.312 13.608 6.503
angles (deg): 90.00 90.00 90.00
Space group Ibam (No. 72)
Asymmetric unit:
Er  0.176  0.172  0.000 x8
Tl  0.143  0.401  0.000 x8
Hg  0.000  0.000  0.250 x4